Starting from a structure optimized by DFT (PBE), the powder XRD pattern of AcScAgIr was computed for Cu Kα, 1.54184 Å.
Peak positions follow from Bragg's law for the DFT cell and can differ from measured ones.

Structure:
a = 7.2009 Å, b = 7.2009 Å, c = 7.2009 Å
α = 90.00°, β = 90.00°, γ = 90.00°
Fractional coordinates of all 16 atoms:
Ac (0.0000, 0.0000, 0.0000)
Ac (0.0000, 0.5000, 0.5000)
Ac (0.5000, 0.0000, 0.5000)
Ac (0.5000, 0.5000, 0.0000)
Sc (0.0000, 0.0000, 0.5000)
Sc (0.0000, 0.5000, 0.0000)
Sc (0.5000, 0.0000, 0.0000)
Sc (0.5000, 0.5000, 0.5000)
Ag (0.2500, 0.2500, 0.7500)
Ag (0.2500, 0.7500, 0.2500)
Ag (0.7500, 0.2500, 0.2500)
Ag (0.7500, 0.7500, 0.7500)
Ir (0.2500, 0.2500, 0.2500)
Ir (0.2500, 0.7500, 0.7500)
Ir (0.7500, 0.2500, 0.7500)
Ir (0.7500, 0.7500, 0.2500)

The 10 most intense peaks (2θ from 10° to 90°), by angle:
2theta	I/Imax
21.37	25.6
35.25	100.0
41.60	14.8
50.71	17.8
55.64	6.7
63.27	36.4
67.60	5.1
74.55	11.3
78.60	5.2
85.23	16.2